ScTeAuO: simulated PXRD pattern (CuKα), based on a crystal structure in OQMD, relaxed with PBE.

Structure:
```
ScTeAuO
1.0
10.2002 0.0000 0.0000
0.0000 5.4847 0.0000
0.0000 0.0000 5.4852
Sc Te Au O
4 4 4 4
direct
0.0921 0.2500 0.0000 Sc
0.0921 0.7500 0.5000 Sc
0.9079 0.2500 0.5000 Sc
0.9079 0.7500 0.0000 Sc
0.2683 0.2500 0.5010 Te
0.2683 0.7500 0.0010 Te
0.7317 0.2500 0.0010 Te
0.7317 0.7500 0.5010 Te
0.5000 0.0000 0.0010 Au
0.5000 0.0000 0.5010 Au
0.5000 0.5000 0.0010 Au
0.5000 0.5000 0.5010 Au
0.0000 0.0000 0.2500 O
0.0000 0.0000 0.7500 O
0.0000 0.5000 0.2500 O
0.0000 0.5000 0.7500 O
```

Largest 10 diffraction maxima, in order of rising 2θ, 2θ from 5° to 70°:
- d = 10.200 Å, rel. 100
- d = 3.625 Å, rel. 18
- d = 2.743 Å, rel. 28
- d = 2.648 Å, rel. 32
- d = 2.554 Å, rel. 35
- d = 2.415 Å, rel. 34
- d = 2.135 Å, rel. 18
- d = 1.905 Å, rel. 17
- d = 1.813 Å, rel. 22
- d = 1.685 Å, rel. 13



NaPmTe2: simulated PXRD pattern (CuKα), based on a crystal structure in OQMD, relaxed with PBE.

Structure:
```
NaPmTe2
1.0
4.5071 0.0000 0.0000
-2.2535 3.9033 0.0000
0.0000 0.0000 22.6491
Na Pm Te
3 3 6
direct
0.0000 0.0000 0.0000 Na
0.3333 0.6667 0.6667 Na
0.6667 0.3333 0.3333 Na
0.0000 0.0000 0.5000 Pm
0.3333 0.6667 0.1667 Pm
0.6667 0.3333 0.8333 Pm
0.0000 0.0000 0.2459 Te
0.0000 0.0000 0.7541 Te
0.3333 0.6667 0.4207 Te
0.3333 0.6667 0.9126 Te
0.6667 0.3333 0.0874 Te
0.6667 0.3333 0.5793 Te
```

Largest 10 diffraction maxima, in order of rising 2θ, 2θ from 5° to 70°:
- d = 7.550 Å, rel. 28
- d = 3.847 Å, rel. 12
- d = 3.214 Å, rel. 100
- d = 2.491 Å, rel. 8
- d = 2.292 Å, rel. 38
- d = 2.254 Å, rel. 38
- d = 1.845 Å, rel. 20
- d = 1.607 Å, rel. 13
- d = 1.447 Å, rel. 17
- d = 1.428 Å, rel. 17



Zn2Ge2AsN3: simulated PXRD pattern (CuKα), based on a crystal structure in OQMD, relaxed with PBE.

Structure:
```
Zn2Ge2AsN3
1.0
10.3447 0.0000 0.0000
0.0000 4.8467 0.0000
-2.2411 0.0000 4.4390
Zn Ge As N
4 4 2 6
direct
0.1427 0.0000 0.3541 Zn
0.3573 0.5000 0.6459 Zn
0.6427 0.5000 0.3541 Zn
0.8573 0.0000 0.6459 Zn
0.1352 0.5639 0.9105 Ge
0.3648 0.0639 0.0895 Ge
0.6352 0.0639 0.9105 Ge
0.8648 0.5639 0.0895 Ge
0.0000 0.2817 0.5000 As
0.5000 0.7817 0.5000 As
0.0000 0.7618 0.0000 N
0.2501 0.2954 0.2119 N
0.2499 0.7954 0.7881 N
0.5000 0.2618 0.0000 N
0.7499 0.2954 0.7881 N
0.7501 0.7954 0.2119 N
```

Largest 10 diffraction maxima, in order of rising 2θ, 2θ from 5° to 70°:
- d = 3.470 Å, rel. 11
- d = 2.806 Å, rel. 100
- d = 2.743 Å, rel. 88
- d = 2.598 Å, rel. 11
- d = 1.735 Å, rel. 32
- d = 1.720 Å, rel. 17
- d = 1.672 Å, rel. 29
- d = 1.664 Å, rel. 13
- d = 1.499 Å, rel. 11
- d = 1.419 Å, rel. 11



Ho5Er2Te2Ir2: simulated PXRD pattern (CuKα), based on a crystal structure in OQMD, relaxed with PBE.

Structure:
```
Ho5Er2Te2Ir2
1.0
-1.9604 7.8317 4.7168
1.9604 -7.8317 4.7168
1.9604 7.8317 -4.7168
Ho Er Te Ir
5 2 2 2
direct
0.0000 0.0000 0.0000 Ho
0.0851 0.7315 0.3536 Ho
0.3779 0.7315 0.6464 Ho
0.4508 0.5825 0.8683 Ho
0.7142 0.5825 0.1317 Ho
0.0568 0.3723 0.6846 Er
0.6877 0.3723 0.3154 Er
0.3369 0.3369 0.0000 Te
0.7361 0.2361 0.5000 Te
0.3094 0.0717 0.2377 Ir
0.8341 0.0717 0.7623 Ir
```

Largest 10 diffraction maxima, in order of rising 2θ, 2θ from 5° to 70°:
- d = 7.832 Å, rel. 23
- d = 2.973 Å, rel. 19
- d = 2.961 Å, rel. 37
- d = 2.694 Å, rel. 44
- d = 2.658 Å, rel. 100
- d = 2.611 Å, rel. 48
- d = 2.453 Å, rel. 23
- d = 2.341 Å, rel. 26
- d = 1.960 Å, rel. 33
- d = 1.585 Å, rel. 18



TaI5: simulated PXRD pattern (CuKα), based on a crystal structure in OQMD, relaxed with PBE.

Structure:
```
TaI5
1.0
8.7851 0.0000 0.0000
-4.3926 7.6082 0.0000
0.0000 0.0000 9.4407
Ta I
2 10
direct
0.3333 0.6667 0.2500 Ta
0.6667 0.3333 0.7500 Ta
0.1583 0.3166 0.2500 I
0.1583 0.8417 0.2500 I
0.3166 0.1583 0.7500 I
0.3333 0.6667 0.5380 I
0.3333 0.6667 0.9620 I
0.6667 0.3333 0.0380 I
0.6667 0.3333 0.4620 I
0.6834 0.8417 0.2500 I
0.8417 0.1583 0.7500 I
0.8417 0.6834 0.7500 I
```

Largest 10 diffraction maxima, in order of rising 2θ, 2θ from 5° to 70°:
- d = 7.608 Å, rel. 36
- d = 5.924 Å, rel. 100
- d = 4.393 Å, rel. 60
- d = 3.804 Å, rel. 73
- d = 3.528 Å, rel. 37
- d = 2.908 Å, rel. 70
- d = 2.751 Å, rel. 43
- d = 2.196 Å, rel. 64
- d = 2.123 Å, rel. 68
- d = 1.608 Å, rel. 36



Tm5GeTe5: simulated PXRD pattern (CuKα), based on a crystal structure in OQMD, relaxed with PBE.

Structure:
```
Tm5GeTe5
1.0
6.7634 -3.0172 0.0000
6.7634 3.0172 0.0000
-2.7284 0.0000 8.0609
Tm Ge Te
5 1 5
direct
0.0000 0.0000 0.0000 Tm
0.3439 0.3439 0.1589 Tm
0.3449 0.3449 0.6838 Tm
0.6551 0.6551 0.3162 Tm
0.6561 0.6561 0.8411 Tm
0.5000 0.5000 0.0000 Ge
0.1644 0.1644 0.8255 Te
0.1723 0.1723 0.3363 Te
0.5000 0.5000 0.5000 Te
0.8277 0.8277 0.6637 Te
0.8356 0.8356 0.1745 Te
```

Largest 10 diffraction maxima, in order of rising 2θ, 2θ from 5° to 70°:
- d = 3.021 Å, rel. 100
- d = 3.005 Å, rel. 48
- d = 2.136 Å, rel. 55
- d = 2.129 Å, rel. 55
- d = 1.743 Å, rel. 19
- d = 1.739 Å, rel. 19
- d = 1.352 Å, rel. 8
- d = 1.350 Å, rel. 12
- d = 1.348 Å, rel. 12
- d = 1.345 Å, rel. 8